Diffraction record for Li2Ni3WO8. The XRD peak list is calculated, not measured: it uses a crystal structure in Alexandria, relaxed with GGA+U and λ = 1.5418 Å (Cu Kα).

Largest 10 diffraction maxima, in order of rising 2θ, 2θ = 10–80°:
2θ (°), Rel. int.
18.27, 100
21.14, 9
34.83, 7
35.11, 25
35.41, 22
37.02, 16
42.49, 14
43.04, 26
61.76, 8
62.40, 8

Structural model:
```
14
Lattice="5.1687 -2.9536 0.0000 5.1687 2.9536 0.0000 -3.3960 0.0000 4.9240" Properties=species:S:1:pos:R:3 pbc="T T T"
Li 0.0365 0.0000 1.9381
Li 6.9049 0.0000 2.9859
Ni 2.5844 1.4768 0.0000
Ni 2.5844 -1.4768 0.0000
Ni 5.1687 0.0000 0.0000
W 3.4707 0.0000 2.4620
O 1.9066 0.0000 1.2413
O 4.2637 1.3486 1.3060
O 0.0569 0.0000 3.9952
O 2.6777 1.3486 3.6180
O 4.2637 -1.3486 1.3060
O 6.8845 0.0000 0.9288
O 2.6777 -1.3486 3.6180
O 5.0348 0.0000 3.6827
```